(1)
Structure and calculated powder X-ray diffraction pattern of V3Au (a DFT-relaxed cell (GGA-PBE, Alexandria); Cu Kα (λ = 1.5418 Å)).
No peak broadening, texture or thermal motion is included.

Peak list (8 most intense, 2θ = 5–70°, by angle)
(1 1 0), d = 3.451 Å, rel. 78
(2 0 0), d = 2.440 Å, rel. 46
(2 1 0), d = 2.183 Å, rel. 21
(2 1 1), d = 1.992 Å, rel. 100
(2 2 0), d = 1.725 Å, rel. 12
(3 1 0), d = 1.543 Å, rel. 17
(2 2 2), d = 1.409 Å, rel. 1
(3 2 0), d = 1.354 Å, rel. 4

Atomic structure:
```
data_V3Au
_cell_length_a 4.8803
_cell_length_b 4.8803
_cell_length_c 4.8803
_cell_angle_alpha 90.00
_cell_angle_beta 90.00
_cell_angle_gamma 90.00
_symmetry_space_group_name_H-M 'P m -3 n'
_symmetry_Int_Tables_number 223
_symmetry_space_group_name_Hall '-P 4n 2 3'
loop_
_atom_site_label
_atom_site_fract_x
_atom_site_fract_y
_atom_site_fract_z
_atom_site_occupancy
V1 0.0000 0.2500 0.5000 1
Au1 0.0000 0.0000 0.0000 1
```

***

(2)
Structure and calculated powder X-ray diffraction pattern of V12WAu3 (a DFT-relaxed cell (GGA-PBE, Alexandria); Cu Kα (λ = 1.5418 Å)).
No peak broadening, texture or thermal motion is included.

Peak list (10 most intense, 2θ = 5–70°, by angle)
(1 1 0), d = 3.445 Å, rel. 77
(2 0 0), d = 2.439 Å, rel. 31
(0 0 4), d = 2.430 Å, rel. 15
(2 1 0), d = 2.181 Å, rel. 14
(1 0 4), d = 2.175 Å, rel. 7
(1 1 4), d = 1.989 Å, rel. 100
(2 2 0), d = 1.725 Å, rel. 4
(2 0 4), d = 1.722 Å, rel. 8
(3 0 2), d = 1.542 Å, rel. 11
(0 1 6), d = 1.537 Å, rel. 6

Atomic structure:
```
data_V12WAu3
_cell_length_a 4.8776
_cell_length_b 4.8793
_cell_length_c 9.7198
_cell_angle_alpha 90.00
_cell_angle_beta 90.00
_cell_angle_gamma 90.00
_symmetry_space_group_name_H-M 'P m m m'
_symmetry_Int_Tables_number 47
loop_
_symmetry_equiv_pos_as_xyz
'x,y,z'
'-x,-y,-z'
'-x,-y,z'
'x,y,-z'
'x,-y,-z'
'-x,y,z'
'-x,y,-z'
'x,-y,z'
loop_
_atom_site_label
_atom_site_fract_x
_atom_site_fract_y
_atom_site_fract_z
_atom_site_occupancy
V1 0.0000 0.0000 0.1224 1
V2 0.0000 0.0000 0.3750 1
V3 0.2462 0.5000 0.2551 1
V4 0.5000 0.2483 0.0000 1
V5 0.5000 0.2555 0.5000 1
W1 0.0000 0.5000 0.5000 1
Au1 0.0000 0.5000 0.0000 1
Au2 0.5000 0.0000 0.2498 1
```

***

(3)
Structure and calculated powder X-ray diffraction pattern of VZn2Au (a DFT-relaxed cell (GGA-PBE, Alexandria); Cu Kα (λ = 1.5418 Å)).
No peak broadening, texture or thermal motion is included.

Peak list (10 most intense, 2θ = 5–70°, by angle)
(0 1 0), d = 4.943 Å, rel. 78
(1 0 0), d = 4.642 Å, rel. 44
(1 -1 0), d = 3.404 Å, rel. 40
(0 2 0), d = 2.471 Å, rel. 41
(1 0 -2), d = 2.383 Å, rel. 43
(0 1 2), d = 2.319 Å, rel. 100
(1 0 2), d = 2.258 Å, rel. 40
(1 1 -2), d = 2.169 Å, rel. 73
(1 -1 2), d = 2.082 Å, rel. 56
(1 1 2), d = 2.027 Å, rel. 36

Atomic structure:
```
data_VZn2Au
_cell_length_a 4.6508
_cell_length_b 4.9462
_cell_length_c 5.3648
_cell_angle_alpha 92.02
_cell_angle_beta 93.54
_cell_angle_gamma 90.55
_symmetry_space_group_name_H-M 'P -1'
_symmetry_Int_Tables_number 2
loop_
_symmetry_equiv_pos_as_xyz
'x,y,z'
'-x,-y,-z'
loop_
_atom_site_label
_atom_site_fract_x
_atom_site_fract_y
_atom_site_fract_z
_atom_site_occupancy
V1 0.2222 0.0023 0.4955 1
Zn1 0.0000 0.5000 0.5000 1
Zn2 0.0103 0.2430 0.9465 1
Zn3 0.5000 0.0000 0.0000 1
Au1 0.4691 0.4732 0.2483 1
```